Entry 1:
# InPd5Pt
Calculated powder diffraction line list, Cu Kα X-rays. Input: a GGA-PBE-relaxed structure.
Kinematic intensities with the Lorentz-polarization factor, no thermal factor.

The 12 most intense peaks (2θ from 5° to 70°), in order of rising 2θ:
hkl, d_spacing, Position (°2θ), I (rel.)
0 1 1, 5.690, 15.6, 51
0 2 0, 4.394, 20.2, 73
1 0 1, 4.287, 20.7, 66
1 2 1, 3.068, 29.1, 56
0 2 2, 2.845, 31.4, 29
0 1 3, 2.395, 37.6, 61
2 1 1, 2.378, 37.8, 58
0 4 0, 2.197, 41.1, 49
2 2 2, 1.926, 47.2, 100
0 3 3, 1.896, 48.0, 36
2 3 1, 1.889, 48.2, 26
0 5 3, 1.436, 64.9, 27

Structure:
```
InPd5Pt
1.0
5.2355 0.0000 0.0000
0.0000 8.7886 0.0000
0.0000 0.0000 7.4666
In Pd Pt
2 10 2
direct
0.0000 0.0000 0.0000
0.5000 0.5000 0.5000
0.0000 0.0000 0.3789
0.0000 0.2452 0.1988
0.0000 0.7548 0.1988
0.2461 0.0000 0.6888
0.2539 0.5000 0.1888
0.5000 0.2548 0.6988
0.5000 0.5000 0.8789
0.5000 0.7452 0.6988
0.7461 0.5000 0.1888
0.7539 0.0000 0.6888
0.0000 0.5000 0.8820
0.5000 0.0000 0.3820
```


Entry 2:
# HoNi5Sb
Calculated powder diffraction line list, Cu Kα X-rays. Input: a GGA-PBE-relaxed structure.
Kinematic intensities with the Lorentz-polarization factor, no thermal factor.

The 12 most intense peaks (2θ from 5° to 70°), in order of rising 2θ:
hkl, d_spacing, Position (°2θ), I (rel.)
0 1 3, 2.787, 32.1, 17
1 1 3, 2.632, 34.1, 18
0 2 0, 2.464, 36.5, 25
1 0 4, 2.416, 37.2, 32
3 1 1, 2.285, 39.4, 100
0 2 2, 2.216, 40.7, 14
2 2 0, 2.097, 43.1, 15
2 2 1, 2.054, 44.1, 22
2 1 4, 1.964, 46.2, 34
4 0 1, 1.961, 46.3, 14
1 2 3, 1.932, 47.0, 22
3 3 1, 1.385, 67.6, 20

Structure:
```
HoNi5Sb
1.0
7.9940 0.0000 0.0000
0.0000 4.9281 0.0000
0.0000 0.0000 10.1400
Ho Ni Sb
4 20 4
direct
0.2462 0.2500 0.0575
0.2538 0.7500 0.5575
0.7462 0.2500 0.4425
0.7538 0.7500 0.9425
0.0612 0.2500 0.5949
0.0669 0.5009 0.8083
0.0669 0.9991 0.8083
0.0888 0.7500 0.0193
0.1837 0.7500 0.2504
0.3163 0.2500 0.7504
0.4112 0.2500 0.5193
0.4331 0.0009 0.3083
0.4331 0.4991 0.3083
0.4388 0.7500 0.0949
0.5612 0.2500 0.9051
0.5669 0.5009 0.6917
0.5669 0.9991 0.6917
0.5888 0.7500 0.4807
0.6837 0.7500 0.2496
0.8163 0.2500 0.7496
0.9112 0.2500 0.9807
0.9331 0.0009 0.1917
0.9331 0.4991 0.1917
0.9388 0.7500 0.4051
0.1438 0.2500 0.3573
0.3562 0.7500 0.8573
0.6438 0.2500 0.1427
0.8562 0.7500 0.6427
```